Er3Al5Zn6: computed powder diffraction line list (Cu Kα, 1.54184 Å), based on a cell relaxed with GGA-PBE.
Lines closer than 0.1° are merged.

Structural model:
```
data_Er3Al5Zn6
_cell_length_a 4.233
_cell_length_b 12.361
_cell_length_c 9.725
_cell_angle_alpha 90.00
_cell_angle_beta 90.00
_cell_angle_gamma 90.00
_symmetry_space_group_name_H-M 'P m m n'
_symmetry_Int_Tables_number 59
loop_
_symmetry_equiv_pos_as_xyz
'x,y,z'
'-x,-y,-z'
'-x+1/2,-y+1/2,z'
'x+1/2,y+1/2,-z'
'x+1/2,-y,-z'
'-x+1/2,y,z'
'-x,y+1/2,-z'
'x,-y+1/2,z'
loop_
_atom_site_label
_atom_site_fract_x
_atom_site_fract_y
_atom_site_fract_z
_atom_site_occupancy
Er1 0.250 0.056 0.249 1
Er2 0.250 0.750 0.248 1
Al1 0.250 0.091 0.886 1
Al2 0.250 0.603 0.522 1
Al3 0.250 0.750 0.745 1
Zn1 0.250 0.095 0.627 1
Zn2 0.250 0.250 0.055 1
Zn3 0.250 0.250 0.452 1
Zn4 0.250 0.613 0.969 1
```

Principal peaks in the range 2θ = 10–90°, sorted by position:
- (1 0 1), 22.9 deg, I 31
- (0 3 1), 23.4 deg, I 19
- (1 3 0), 30.3 deg, I 18
- (1 0 3), 34.9 deg, I 33
- (0 3 3), 35.2 deg, I 32
- (1 3 2), 35.6 deg, I 100
- (1 4 1), 37.2 deg, I 21
- (2 0 0), 42.7 deg, I 30
- (0 6 0), 44.0 deg, I 15
- (2 3 3), 56.5 deg, I 18
- (1 7 4), 69.5 deg, I 18
- (3 3 2), 73.6 deg, I 14

---

Sr3W3N5: computed powder diffraction line list (Cu Kα, 1.54184 Å), based on a cell relaxed with GGA-PBE.
Lines closer than 0.1° are merged.

Structural model:
```
data_Sr3W3N5
_cell_length_a 6.149
_cell_length_b 7.970
_cell_length_c 8.402
_cell_angle_alpha 108.39
_cell_angle_beta 103.29
_cell_angle_gamma 103.83
_symmetry_space_group_name_H-M 'P -1'
_symmetry_Int_Tables_number 2
loop_
_symmetry_equiv_pos_as_xyz
'x,y,z'
'-x,-y,-z'
loop_
_atom_site_label
_atom_site_fract_x
_atom_site_fract_y
_atom_site_fract_z
_atom_site_occupancy
Sr1 0.152 0.355 0.385 1
Sr2 0.178 0.182 0.733 1
Sr3 0.253 0.949 0.101 1
W1 0.223 0.520 0.094 1
W2 0.403 0.807 0.458 1
W3 0.412 0.623 0.824 1
N1 0.101 0.557 0.865 1
N2 0.222 0.249 0.064 1
N3 0.264 0.017 0.431 1
N4 0.312 0.722 0.631 1
N5 0.498 0.583 0.334 1
```

Principal peaks in the range 2θ = 10–90°, sorted by position:
- (0 1 0), 12.4 deg, I 68
- (0 1 -1), 13.4 deg, I 39
- (1 0 0), 15.7 deg, I 39
- (0 1 1), 20.3 deg, I 25
- (1 -1 2), 29.2 deg, I 50
- (2 -1 0), 29.9 deg, I 44
- (-2 1 1), 30.1 deg, I 43
- (1 2 -2), 31.6 deg, I 96
- (0 2 1), 31.7 deg, I 100
- (1 0 -3), 34.0 deg, I 100
- (1 -3 1), 34.5 deg, I 46
- (1 2 1), 41.0 deg, I 22

---

Ac3SnS6: computed powder diffraction line list (Cu Kα, 1.54184 Å), based on a cell relaxed with GGA-PBE.
Lines closer than 0.1° are merged.

Structural model:
```
data_Ac3SnS6
_cell_length_a 11.574
_cell_length_b 14.261
_cell_length_c 7.137
_cell_angle_alpha 90.00
_cell_angle_beta 90.00
_cell_angle_gamma 90.00
_symmetry_space_group_name_H-M 'C m c 21'
_symmetry_Int_Tables_number 36
loop_
_symmetry_equiv_pos_as_xyz
'x,y,z'
'-x,-y,z+1/2'
'-x,y,z'
'x,-y,z+1/2'
'x+1/2,y+1/2,z'
'-x+1/2,-y+1/2,z+1/2'
'-x+1/2,y+1/2,z'
'x+1/2,-y+1/2,z+1/2'
loop_
_atom_site_label
_atom_site_fract_x
_atom_site_fract_y
_atom_site_fract_z
_atom_site_occupancy
Ac1 0.000 0.102 0.000 1
Ac2 0.189 0.395 0.921 1
Sn1 0.000 0.335 0.401 1
S1 0.000 0.272 0.746 1
S2 0.000 0.489 0.163 1
S3 0.157 0.246 0.227 1
S4 0.161 0.021 0.710 1
```

Principal peaks in the range 2θ = 10–90°, sorted by position:
- (1 1 1), 15.9 deg, I 13
- (2 2 1), 23.4 deg, I 100
- (1 3 1), 23.8 deg, I 31
- (3 1 0), 23.9 deg, I 13
- (0 0 2), 25.0 deg, I 27
- (3 3 1), 32.4 deg, I 13
- (3 1 2), 34.8 deg, I 25
- (0 4 2), 35.6 deg, I 26
- (3 5 0), 39.3 deg, I 23
- (2 2 3), 43.0 deg, I 21
- (5 3 1), 45.4 deg, I 16
- (6 0 0), 47.1 deg, I 28

---

Pr2Dy2I7: computed powder diffraction line list (Cu Kα, 1.54184 Å), based on a cell relaxed with GGA-PBE.
Lines closer than 0.1° are merged.

Structural model:
```
data_Pr2Dy2I7
_cell_length_a 9.228
_cell_length_b 13.465
_cell_length_c 8.220
_cell_angle_alpha 90.00
_cell_angle_beta 92.03
_cell_angle_gamma 90.00
_symmetry_space_group_name_H-M 'C 1 2/m 1'
_symmetry_Int_Tables_number 12
loop_
_symmetry_equiv_pos_as_xyz
'x,y,z'
'-x,-y,-z'
'-x,y,-z'
'x,-y,z'
'x+1/2,y+1/2,z'
'-x+1/2,-y+1/2,-z'
'-x+1/2,y+1/2,-z'
'x+1/2,-y+1/2,z'
loop_
_atom_site_label
_atom_site_fract_x
_atom_site_fract_y
_atom_site_fract_z
_atom_site_occupancy
Pr1 0.000 0.137 0.000 1
Dy1 0.203 0.000 0.336 1
I1 0.000 0.500 0.500 1
I2 0.128 0.000 0.711 1
I3 0.210 0.300 0.780 1
```

Principal peaks in the range 2θ = 10–90°, sorted by position:
- (1 1 0), 11.6 deg, I 79
- (1 1 -1), 15.6 deg, I 100
- (0 2 1), 17.0 deg, I 93
- (1 3 -1), 24.4 deg, I 51
- (2 0 -2), 28.6 deg, I 81
- (2 0 2), 29.6 deg, I 63
- (1 3 -2), 30.8 deg, I 95
- (3 1 1), 32.1 deg, I 78
- (0 4 2), 34.5 deg, I 69
- (3 3 0), 35.4 deg, I 98
- (1 5 1), 36.5 deg, I 40
- (3 5 1), 46.4 deg, I 40

---

Tb3Sm7Tl2: computed powder diffraction line list (Cu Kα, 1.54184 Å), based on a cell relaxed with GGA-PBE.
Lines closer than 0.1° are merged.

Structural model:
```
data_Tb3Sm7Tl2
_cell_length_a 5.695
_cell_length_b 3.653
_cell_length_c 18.677
_cell_angle_alpha 90.00
_cell_angle_beta 93.80
_cell_angle_gamma 90.00
_symmetry_space_group_name_H-M 'P 1 2/m 1'
_symmetry_Int_Tables_number 10
loop_
_symmetry_equiv_pos_as_xyz
'x,y,z'
'-x,-y,-z'
'-x,y,-z'
'x,-y,z'
loop_
_atom_site_label
_atom_site_fract_x
_atom_site_fract_y
_atom_site_fract_z
_atom_site_occupancy
Tb1 0.000 0.000 0.000 1
Tb2 0.279 0.500 0.637 1
Sm1 0.166 0.500 0.150 1
Sm2 0.242 0.000 0.462 1
Sm3 0.332 0.000 0.828 1
Sm4 0.500 0.500 0.000 1
Tl1 0.203 0.000 0.295 1
```

Principal peaks in the range 2θ = 10–90°, sorted by position:
- (0 0 6), 28.7 deg, I 33
- (1 1 -2), 30.3 deg, I 30
- (1 1 2), 31.0 deg, I 100
- (0 1 4), 31.1 deg, I 29
- (2 0 -1), 31.5 deg, I 68
- (1 0 -6), 31.9 deg, I 31
- (1 1 -3), 32.0 deg, I 26
- (1 0 6), 33.8 deg, I 26
- (1 1 -4), 34.4 deg, I 48
- (0 2 0), 49.9 deg, I 34
- (3 1 1), 55.1 deg, I 22
- (2 2 -1), 60.3 deg, I 23

---

DyEr4Hg2: computed powder diffraction line list (Cu Kα, 1.54184 Å), based on a cell relaxed with GGA-PBE.
Lines closer than 0.1° are merged.

Structural model:
```
data_DyEr4Hg2
_cell_length_a 5.0182
_cell_length_b 5.0182
_cell_length_c 30.1858
_cell_angle_alpha 90.00
_cell_angle_beta 90.00
_cell_angle_gamma 120.00
_symmetry_space_group_name_H-M 'R -3 m'
_symmetry_Int_Tables_number 166
_symmetry_space_group_name_Hall '-R 3 2"'
loop_
_atom_site_label
_atom_site_fract_x
_atom_site_fract_y
_atom_site_fract_z
_atom_site_occupancy
Dy1 0.0000 0.0000 0.0000 1
Er1 0.0000 0.0000 0.2029 1
Er2 0.0000 0.0000 0.3938 1
Hg1 0.0000 0.0000 0.1010 1
```

Principal peaks in the range 2θ = 10–90°, sorted by position:
- (1 0 1), 20.6 deg, I 27
- (1 0 4), 23.6 deg, I 22
- (0 1 5), 25.3 deg, I 28
- (1 1 0), 35.8 deg, I 100
- (1 0 10), 36.2 deg, I 92
- (0 2 10), 51.8 deg, I 33
- (3 0 0), 64.3 deg, I 18
- (2 1 10), 64.6 deg, I 35
- (0 1 20), 65.5 deg, I 15
- (2 2 0), 75.8 deg, I 12
- (1 3 10), 87.1 deg, I 16
- (1 2 20), 87.8 deg, I 13

---

Number 1 is which compound?
Er3Al5Zn6